(1)
LiPr2C2N4F3: calculated powder diffractogram (Cu Kα (weighted mean of Kα1 and Kα2)), based on a crystal structure in OQMD, relaxed with PBE.

Peak list (8 most intense, 2θ = 10–80°, low angle first)
2theta	intensity
16.9	100.0
25.3	97.3
27.4	31.6
29.8	60.0
31.3	27.1
32.4	69.8
41.9	29.3
47.2	35.8

Structural model:
a b c (Å): 6.629 6.629 8.388
angles (deg): 111.36 111.36 58.76
Sites, in units of the cell vectors:
1 Li 0.090 0.910 0.750
2 Li 0.910 0.090 0.250
3 Pr 0.284 0.290 0.668
4 Pr 0.290 0.284 0.168
5 Pr 0.710 0.716 0.832
6 Pr 0.716 0.710 0.332
7 C 0.225 0.726 0.046
8 C 0.274 0.775 0.454
9 C 0.726 0.225 0.546
10 C 0.775 0.274 0.954
11 N 0.113 0.714 0.367
12 N 0.163 0.563 0.963
13 N 0.286 0.887 0.133
14 N 0.437 0.837 0.537
15 N 0.563 0.163 0.463
16 N 0.714 0.113 0.867
17 N 0.837 0.437 0.037
18 N 0.887 0.286 0.633
19 F 0.064 0.307 0.365
20 F 0.307 0.064 0.865
21 F 0.396 0.604 0.750
22 F 0.604 0.396 0.250
23 F 0.693 0.936 0.135
24 F 0.936 0.693 0.635


(2)
TmNbCF2: calculated powder diffractogram (Cu Kα (weighted mean of Kα1 and Kα2)), based on a crystal structure in OQMD, relaxed with PBE.

Peak list (8 most intense, 2θ = 10–80°, low angle first)
2theta	intensity
13.2	52.7
26.7	26.4
31.2	40.9
34.0	100.0
41.5	82.8
52.0	22.5
55.5	31.5
64.5	23.0

Structural model:
a b c (Å): 3.313 3.313 6.682
angles (deg): 90.00 90.00 120.00
Sites, in units of the cell vectors:
1 Tm 0.000 0.000 0.000
2 Nb 0.333 0.667 0.632
3 C 0.667 0.333 0.790
4 F 0.000 0.000 0.432
5 F 0.333 0.667 0.177


(3)
NdSmCF2: calculated powder diffractogram (Cu Kα (weighted mean of Kα1 and Kα2)), based on a crystal structure in OQMD, relaxed with PBE.

Peak list (8 most intense, 2θ = 10–80°, low angle first)
2theta	intensity
27.4	59.2
30.7	100.0
39.1	38.6
48.5	31.5
50.5	31.1
56.6	26.8
58.5	16.7
79.3	14.1

Structural model:
a b c (Å): 3.755 3.755 6.519
angles (deg): 90.00 90.00 120.00
Sites, in units of the cell vectors:
1 Nd 0.000 0.000 0.000
2 Sm 0.667 0.333 0.435
3 C 0.333 0.667 0.218
4 F 0.000 0.000 0.600
5 F 0.667 0.333 0.821


(4)
PdC2S2O8F2: calculated powder diffractogram (Cu Kα (weighted mean of Kα1 and Kα2)), based on a crystal structure in OQMD, relaxed with PBE.

Peak list (8 most intense, 2θ = 10–80°, low angle first)
2theta	intensity
14.0	100.0
16.7	67.0
17.9	97.2
26.4	78.5
28.6	33.8
30.5	40.0
31.9	57.3
35.8	55.6

Structural model:
a b c (Å): 7.050 14.245 10.624
angles (deg): 90.00 131.35 90.00
Sites, in units of the cell vectors:
1 Pd 0.234 0.144 0.206
2 Pd 0.234 0.356 0.706
3 Pd 0.766 0.644 0.294
4 Pd 0.766 0.856 0.794
5 C 0.022 0.249 0.583
6 C 0.022 0.251 0.083
7 C 0.027 0.102 0.252
8 C 0.027 0.398 0.752
9 C 0.973 0.602 0.248
10 C 0.973 0.898 0.748
11 C 0.978 0.749 0.917
12 C 0.978 0.751 0.417
13 S 0.368 0.184 0.991
14 S 0.368 0.316 0.491
15 S 0.411 0.561 0.778
16 S 0.411 0.939 0.278
17 S 0.589 0.061 0.722
18 S 0.589 0.439 0.222
19 S 0.632 0.684 0.509
20 S 0.632 0.816 0.009
21 O 0.093 0.571 0.222
22 O 0.093 0.684 0.988
23 O 0.093 0.816 0.488
24 O 0.093 0.929 0.722
25 O 0.115 0.220 0.873
26 O 0.115 0.280 0.373
27 O 0.239 0.568 0.599
28 O 0.239 0.932 0.099
29 O 0.369 0.120 0.620
30 O 0.369 0.380 0.120
31 O 0.443 0.720 0.511
32 O 0.443 0.780 0.011
33 O 0.471 0.178 0.167
34 O 0.471 0.322 0.667
35 O 0.484 0.038 0.344
36 O 0.484 0.462 0.844
37 O 0.516 0.538 0.156
38 O 0.516 0.962 0.656
39 O 0.529 0.678 0.333
40 O 0.529 0.822 0.833
41 O 0.557 0.220 0.989
42 O 0.557 0.280 0.489
43 O 0.631 0.620 0.880
44 O 0.631 0.880 0.380
45 O 0.761 0.068 0.901
46 O 0.761 0.432 0.401
47 O 0.885 0.720 0.627
48 O 0.885 0.780 0.127
49 O 0.907 0.071 0.278
50 O 0.907 0.184 0.512
51 O 0.907 0.316 0.012
52 O 0.907 0.429 0.778
53 F 0.246 0.589 0.826
54 F 0.246 0.911 0.326
55 F 0.340 0.076 0.941
56 F 0.340 0.424 0.441
57 F 0.660 0.576 0.559
58 F 0.660 0.924 0.059
59 F 0.754 0.089 0.674
60 F 0.754 0.411 0.174


(5)
ZnC8O4F4: calculated powder diffractogram (Cu Kα (weighted mean of Kα1 and Kα2)), based on a crystal structure in OQMD, relaxed with PBE.

Peak list (8 most intense, 2θ = 10–80°, low angle first)
2theta	intensity
18.7	100.0
19.3	28.7
21.8	57.5
23.9	46.9
25.4	24.2
34.6	26.5
37.1	25.0
42.3	27.4

Structural model:
a b c (Å): 4.876 4.876 16.262
angles (deg): 93.32 93.32 87.78
Sites, in units of the cell vectors:
1 Zn 0.190 0.810 0.750
2 Zn 0.810 0.190 0.250
3 C 0.039 0.404 0.580
4 C 0.089 0.277 0.661
5 C 0.179 0.683 0.473
6 C 0.218 0.588 0.552
7 C 0.277 0.089 0.161
8 C 0.317 0.821 0.027
9 C 0.404 0.039 0.080
10 C 0.412 0.782 0.948
11 C 0.588 0.218 0.052
12 C 0.596 0.961 0.920
13 C 0.683 0.179 0.973
14 C 0.723 0.911 0.839
15 C 0.782 0.412 0.448
16 C 0.821 0.317 0.527
17 C 0.911 0.723 0.339
18 C 0.961 0.596 0.420
19 O 0.019 0.060 0.157
20 O 0.060 0.019 0.657
21 O 0.160 0.414 0.727
22 O 0.414 0.160 0.227
23 O 0.586 0.840 0.773
24 O 0.840 0.586 0.273
25 O 0.940 0.981 0.343
26 O 0.981 0.940 0.843
27 F 0.149 0.637 0.054
28 F 0.333 0.561 0.900
29 F 0.363 0.851 0.446
30 F 0.439 0.667 0.600
31 F 0.561 0.333 0.400
32 F 0.637 0.149 0.554
33 F 0.667 0.439 0.100
34 F 0.851 0.363 0.946


(6)
Pr2Sm2C2F5: calculated powder diffractogram (Cu Kα (weighted mean of Kα1 and Kα2)), based on a crystal structure in OQMD, relaxed with PBE.

Peak list (8 most intense, 2θ = 10–80°, low angle first)
2theta	intensity
24.3	54.1
28.8	43.1
29.3	40.2
30.2	100.0
36.3	49.6
36.5	57.4
47.4	52.7
48.1	51.0

Structural model:
a b c (Å): 8.224 8.224 6.781
angles (deg): 113.17 113.17 26.15
Sites, in units of the cell vectors:
1 Pr 0.003 0.003 0.264
2 Pr 0.997 0.997 0.736
3 Sm 0.303 0.303 0.300
4 Sm 0.697 0.697 0.700
5 C 0.451 0.451 0.451
6 C 0.549 0.549 0.549
7 F 0.186 0.186 0.917
8 F 0.187 0.187 0.459
9 F 0.500 0.500 0.000
10 F 0.813 0.813 0.541
11 F 0.814 0.814 0.083


(7)
Pr2Tm2CF5: calculated powder diffractogram (Cu Kα (weighted mean of Kα1 and Kα2)), based on a crystal structure in OQMD, relaxed with PBE.

Peak list (8 most intense, 2θ = 10–80°, low angle first)
2theta	intensity
13.4	71.5
22.4	58.0
28.9	48.3
32.3	69.9
35.7	100.0
36.5	32.5
40.2	29.5
50.9	39.2

Structural model:
a b c (Å): 7.611 7.611 7.288
angles (deg): 113.94 113.94 26.84
Sites, in units of the cell vectors:
1 Pr 0.018 0.018 0.257
2 Pr 0.982 0.982 0.743
3 Tm 0.330 0.330 0.887
4 Tm 0.670 0.670 0.113
5 C 0.500 0.500 0.000
6 F 0.174 0.174 0.906
7 F 0.208 0.208 0.314
8 F 0.500 0.500 0.500
9 F 0.792 0.792 0.686
10 F 0.826 0.826 0.094


(8)
PtC8S4F12: calculated powder diffractogram (Cu Kα (weighted mean of Kα1 and Kα2)), based on a crystal structure in OQMD, relaxed with PBE.

Peak list (8 most intense, 2θ = 10–80°, low angle first)
2theta	intensity
11.2	100.0
12.2	43.0
20.6	26.1
21.3	34.9
22.5	33.0
24.9	64.6
32.4	26.2
38.2	30.5

Structural model:
a b c (Å): 4.541 14.508 9.598
angles (deg): 90.00 100.03 90.00
Sites, in units of the cell vectors:
1 Pt 0.000 0.000 0.000
2 Pt 0.000 0.500 0.500
3 C 0.276 0.081 0.633
4 C 0.276 0.419 0.133
5 C 0.347 0.660 0.672
6 C 0.347 0.840 0.172
7 C 0.437 0.744 0.219
8 C 0.437 0.756 0.719
9 C 0.484 0.582 0.737
10 C 0.484 0.918 0.237
11 C 0.516 0.082 0.763
12 C 0.516 0.418 0.263
13 C 0.563 0.244 0.281
14 C 0.563 0.256 0.781
15 C 0.653 0.160 0.828
16 C 0.653 0.340 0.328
17 C 0.724 0.581 0.867
18 C 0.724 0.919 0.367
19 S 0.063 0.652 0.533
20 S 0.063 0.848 0.033
21 S 0.376 0.025 0.180
22 S 0.376 0.475 0.680
23 S 0.624 0.525 0.320
24 S 0.624 0.975 0.820
25 S 0.937 0.152 0.967
26 S 0.937 0.348 0.467
27 F 0.070 0.149 0.629
28 F 0.070 0.351 0.129
29 F 0.125 0.000 0.628
30 F 0.125 0.500 0.128
31 F 0.237 0.681 0.156
32 F 0.237 0.819 0.656
33 F 0.293 0.219 0.312
34 F 0.293 0.281 0.812
35 F 0.395 0.088 0.513
36 F 0.395 0.412 0.013
37 F 0.458 0.734 0.362
38 F 0.458 0.766 0.862
39 F 0.542 0.234 0.138
40 F 0.542 0.266 0.638
41 F 0.605 0.588 0.987
42 F 0.605 0.912 0.487
43 F 0.707 0.719 0.188
44 F 0.707 0.781 0.688
45 F 0.763 0.181 0.344
46 F 0.763 0.319 0.844
47 F 0.875 0.000 0.372
48 F 0.875 0.500 0.872
49 F 0.930 0.649 0.871
50 F 0.930 0.851 0.371


(9)
Tm2Sc2CF5: calculated powder diffractogram (Cu Kα (weighted mean of Kα1 and Kα2)), based on a crystal structure in OQMD, relaxed with PBE.

Peak list (8 most intense, 2θ = 10–80°, low angle first)
2theta	intensity
13.5	100.0
27.1	42.8
27.9	42.1
28.4	21.9
34.0	29.3
38.5	55.7
41.2	23.3
55.4	24.4

Structural model:
a b c (Å): 7.165 7.165 6.663
angles (deg): 108.92 108.92 26.61
Sites, in units of the cell vectors:
1 Tm 0.004 0.004 0.241
2 Tm 0.996 0.996 0.759
3 Sc 0.337 0.337 0.885
4 Sc 0.663 0.663 0.115
5 C 0.500 0.500 0.000
6 F 0.174 0.174 0.884
7 F 0.181 0.181 0.334
8 F 0.500 0.500 0.500
9 F 0.819 0.819 0.666
10 F 0.826 0.826 0.116


(10)
Sm2Tm2CF5: calculated powder diffractogram (Cu Kα (weighted mean of Kα1 and Kα2)), based on a crystal structure in OQMD, relaxed with PBE.

Peak list (8 most intense, 2θ = 10–80°, low angle first)
2theta	intensity
13.3	85.7
21.1	45.0
30.5	41.9
32.0	80.9
33.3	35.4
36.3	100.0
38.6	47.1
52.2	44.3

Structural model:
a b c (Å): 7.594 7.594 7.033
angles (deg): 108.16 108.16 26.59
Sites, in units of the cell vectors:
1 Sm 0.000 0.000 0.242
2 Sm 0.000 0.000 0.758
3 Tm 0.336 0.336 0.881
4 Tm 0.664 0.664 0.119
5 C 0.500 0.500 0.000
6 F 0.180 0.180 0.910
7 F 0.182 0.182 0.326
8 F 0.500 0.500 0.500
9 F 0.818 0.818 0.674
10 F 0.820 0.820 0.090